Computed powder X-ray diffraction pattern of LiMg5Pb2 for Cu Ka, from DFT lattice parameters and positions (GGA-PBE).
Lines closer than 0.1° are merged.

Cell and atoms:
Cell: 4.9109 4.9109 19.0373 Å, 90.00 90.00 120.00°
Sites, in units of the cell vectors:
Li 0.3333 0.6667 0.2500
Li 0.6667 0.3333 0.7500
Mg 0.0000 0.0000 0.1672
Mg 0.0000 0.0000 0.3328
Mg 0.0000 0.0000 0.6672
Mg 0.0000 0.0000 0.8328
Mg 0.3333 0.6667 0.5535
Mg 0.3333 0.6667 0.7500
Mg 0.3333 0.6667 0.9465
Mg 0.6667 0.3333 0.0535
Mg 0.6667 0.3333 0.2500
Mg 0.6667 0.3333 0.4465
Pb 0.3333 0.6667 0.1046
Pb 0.3333 0.6667 0.3954
Pb 0.6667 0.3333 0.6046
Pb 0.6667 0.3333 0.8954

Principal peaks in the range 2θ from 15° to 90°, in order of rising 2θ:
- 18.64°, I = 41, hkl 0 0 4
- 20.89°, I = 31, hkl 1 0 0
- 21.41°, I = 52, hkl 1 0 1
- 25.21°, I = 100, hkl 1 0 3
- 28.13°, I = 25, hkl 0 0 6
- 35.29°, I = 22, hkl 1 0 6
- 36.60°, I = 61, hkl 1 1 0
- 39.32°, I = 46, hkl 1 0 7
- 41.38°, I = 34, hkl 1 1 4
- 67.70°, I = 26, hkl 2 1 7